Ti4Be3Tc: calculated X-ray powder pattern (Cu Kα, 1.54184 Å), based on a DFT-relaxed cell (PBE, Alexandria).

Crystal structure
a = 3.0601 Å, b = 3.0601 Å, c = 11.4588 Å
α = 90.00°, β = 90.00°, γ = 90.00°
Space group P4/mmm (No. 123)
Unique sites:
Ti 0.0000 0.0000 0.1226 [2 per cell]
Ti 0.0000 0.0000 0.3693 [2 per cell]
Be 0.5000 0.5000 0.0000 [1 per cell]
Be 0.5000 0.5000 0.2453 [2 per cell]
Tc 0.5000 0.5000 0.5000 [1 per cell]

The 12 most intense peaks (2θ from 10° to 90°), sorted by position:
- 2θ 15.5, d = 5.729 Å, rel. 30, (0 0 2)
- 2θ 23.3, d = 3.820 Å, rel. 10, (0 0 3)
- 2θ 30.2, d = 2.956 Å, rel. 28, (1 0 1)
- 2θ 33.2, d = 2.699 Å, rel. 22, (1 0 2)
- 2θ 37.7, d = 2.388 Å, rel. 18, (1 0 3)
- 2θ 41.7, d = 2.164 Å, rel. 56, (1 1 0)
- 2θ 42.5, d = 2.126 Å, rel. 10, (1 1 1)
- 2θ 43.3, d = 2.091 Å, rel. 100, (1 0 4)
- 2θ 60.5, d = 1.530 Å, rel. 17, (2 0 0)
- 2θ 65.1, d = 1.432 Å, rel. 10, (0 0 8)
- 2θ 77.3, d = 1.235 Å, rel. 32, (2 1 4)
- 2θ 80.4, d = 1.194 Å, rel. 16, (1 1 8)

=====

LaAl4Ag8: calculated X-ray powder pattern (Cu Kα, 1.54184 Å), based on a DFT-relaxed cell (PBE, Alexandria).

Crystal structure
a = 9.4527 Å, b = 9.4527 Å, c = 5.3892 Å
α = 90.00°, β = 90.00°, γ = 90.00°
Space group I4/mmm (No. 139)
Unique sites:
La 0.0000 0.0000 0.0000 [2 per cell]
Al 0.2500 0.2500 0.2500 [8 per cell]
Ag 0.0000 0.2191 0.5000 [8 per cell]
Ag 0.0000 0.3458 0.0000 [8 per cell]

The 12 most intense peaks (2θ from 10° to 90°), sorted by position:
- 2θ 18.8, d = 4.726 Å, rel. 11, (2 0 0)
- 2θ 26.7, d = 3.342 Å, rel. 15, (2 2 0)
- 2θ 32.9, d = 2.720 Å, rel. 36, (3 0 1)
- 2θ 33.2, d = 2.695 Å, rel. 32, (0 0 2)
- 2θ 38.2, d = 2.359 Å, rel. 100, (4 0 0)
- 2θ 38.5, d = 2.341 Å, rel. 17, (2 0 2)
- 2θ 42.8, d = 2.111 Å, rel. 24, (4 1 1)
- 2θ 43.1, d = 2.098 Å, rel. 22, (2 2 2)
- 2θ 62.7, d = 1.482 Å, rel. 17, (3 2 3)
- 2θ 68.9, d = 1.363 Å, rel. 20, (6 3 1)
- 2θ 69.1, d = 1.360 Å, rel. 11, (6 0 2)
- 2θ 88.1, d = 1.109 Å, rel. 11, (6 3 3)

=====

AlInHgS4: calculated X-ray powder pattern (Cu Kα, 1.54184 Å), based on a DFT-relaxed cell (PBE, Alexandria).

Crystal structure
a = 7.4878 Å, b = 7.6225 Å, c = 10.7953 Å
α = 90.00°, β = 90.00°, γ = 90.00°
Space group Imma (No. 74)
Unique sites:
Al 0.2500 0.2500 0.2500 [4 per cell]
In 0.0000 0.0000 0.0000 [4 per cell]
Hg 0.0000 0.2500 0.6294 [4 per cell]
S 0.0000 0.0360 0.2451 [8 per cell]
S 0.2361 0.2500 0.0239 [8 per cell]

The 12 most intense peaks (2θ from 10° to 90°), sorted by position:
- 2θ 14.2, d = 6.227 Å, rel. 26, (0 1 1)
- 2θ 23.4, d = 3.798 Å, rel. 100, (1 1 2)
- 2θ 23.8, d = 3.744 Å, rel. 46, (2 0 0)
- 2θ 27.5, d = 3.246 Å, rel. 71, (1 0 3)
- 2θ 27.5, d = 3.240 Å, rel. 96, (1 2 1)
- 2θ 27.8, d = 3.209 Å, rel. 42, (2 1 1)
- 2θ 41.0, d = 2.200 Å, rel. 44, (0 2 4)
- 2θ 41.6, d = 2.172 Å, rel. 20, (3 1 2)
- 2θ 43.6, d = 2.076 Å, rel. 29, (1 0 5)
- 2θ 43.9, d = 2.064 Å, rel. 22, (2 3 1)
- 2θ 44.2, d = 2.050 Å, rel. 45, (3 2 1)
- 2θ 47.9, d = 1.898 Å, rel. 68, (2 2 4)

=====

HfSe3O9: calculated X-ray powder pattern (Cu Kα, 1.54184 Å), based on a DFT-relaxed cell (PBE, Alexandria).

Crystal structure
a = 14.0804 Å, b = 6.9308 Å, c = 10.1647 Å
α = 90.00°, β = 119.69°, γ = 90.00°
Space group Cc (No. 9)
Unique sites:
Hf 0.0000 0.2008 0.0000 [4 per cell]
Se 0.1208 0.4798 0.8109 [4 per cell]
Se 0.2647 0.0040 0.2977 [4 per cell]
Se 0.3490 0.3931 0.7053 [4 per cell]
O 0.0394 0.4606 0.1250 [4 per cell]
O 0.0482 0.3214 0.8541 [4 per cell]
O 0.1516 0.0779 0.1358 [4 per cell]
O 0.1565 0.3281 0.4189 [4 per cell]
O 0.2254 0.3544 0.8245 [4 per cell]
O 0.3384 0.1284 0.7172 [4 per cell]
O 0.3455 0.2026 0.3349 [4 per cell]
O 0.4298 0.3812 0.6244 [4 per cell]
O 0.4505 0.4424 0.8861 [4 per cell]

The 12 most intense peaks (2θ from 10° to 90°), sorted by position:
- 2θ 15.6, d = 5.665 Å, rel. 64, (1 1 -1)
- 2θ 18.0, d = 4.918 Å, rel. 36, (2 0 -2)
- 2θ 19.8, d = 4.495 Å, rel. 100, (1 1 1)
- 2θ 22.9, d = 3.884 Å, rel. 20, (3 1 -1)
- 2θ 24.7, d = 3.598 Å, rel. 63, (3 1 -2)
- 2θ 25.3, d = 3.514 Å, rel. 36, (3 1 0)
- 2θ 26.0, d = 3.433 Å, rel. 24, (4 0 -2)
- 2θ 27.7, d = 3.226 Å, rel. 21, (0 2 1)
- 2θ 29.6, d = 3.015 Å, rel. 25, (2 2 0)
- 2θ 30.2, d = 2.964 Å, rel. 32, (3 1 -3)
- 2θ 30.3, d = 2.950 Å, rel. 51, (2 0 2)
- 2θ 32.9, d = 2.726 Å, rel. 34, (0 2 2)

=====

Pm5Pr12Tm2: calculated X-ray powder pattern (Cu Kα, 1.54184 Å), based on a DFT-relaxed cell (PBE, Alexandria).

Crystal structure
a = 19.4201 Å, b = 7.5989 Å, c = 10.2015 Å
α = 90.00°, β = 115.96°, γ = 90.00°
Space group C2/m (No. 12)
Unique sites:
Pm 0.0000 0.0000 0.0000 [2 per cell]
Pm 0.1745 0.0000 0.6695 [4 per cell]
Pm 0.1769 0.5000 0.6961 [4 per cell]
Pr 0.0072 0.0000 0.7141 [4 per cell]
Pr 0.0082 0.5000 0.8257 [4 per cell]
Pr 0.1594 0.2493 0.3500 [8 per cell]
Pr 0.1658 0.2398 0.0001 [8 per cell]
Tm 0.0000 0.2988 0.5000 [4 per cell]

The 12 most intense peaks (2θ from 10° to 90°), sorted by position:
- 2θ 27.3, d = 3.264 Å, rel. 32, (4 0 -3)
- 2θ 29.0, d = 3.084 Å, rel. 100, (2 2 1)
- 2θ 29.2, d = 3.057 Å, rel. 28, (0 0 3)
- 2θ 29.9, d = 2.992 Å, rel. 67, (4 2 -1)
- 2θ 30.6, d = 2.926 Å, rel. 47, (0 2 2)
- 2θ 30.7, d = 2.910 Å, rel. 97, (6 0 0)
- 2θ 31.7, d = 2.822 Å, rel. 30, (4 2 -2)
- 2θ 31.9, d = 2.810 Å, rel. 25, (6 0 -3)
- 2θ 37.0, d = 2.430 Å, rel. 29, (6 2 -2)
- 2θ 47.9, d = 1.900 Å, rel. 26, (0 4 0)
- 2θ 53.0, d = 1.728 Å, rel. 27, (8 2 1)
- 2θ 58.0, d = 1.591 Å, rel. 27, (6 4 0)

=====

AcCoH8Rh2: calculated X-ray powder pattern (Cu Kα, 1.54184 Å), based on a DFT-relaxed cell (PBE, Alexandria).

Crystal structure
a = 4.6543 Å, b = 4.6543 Å, c = 17.3193 Å
α = 90.00°, β = 90.00°, γ = 120.00°
Space group R-3 (No. 148, hexagonal axes)
Unique sites:
Ac 0.0000 0.0000 0.0000 [3 per cell]
Co 0.0000 0.0000 0.5000 [3 per cell]
H 0.0000 0.0000 0.3038 [6 per cell]
H 0.0053 0.6291 0.2132 [18 per cell]
Rh 0.0000 0.0000 0.2060 [6 per cell]

The 12 most intense peaks (2θ from 10° to 90°), sorted by position:
- 2θ 22.6, d = 3.926 Å, rel. 65, (1 0 1)
- 2θ 30.3, d = 2.950 Å, rel. 100, (1 0 4)
- 2θ 31.0, d = 2.887 Å, rel. 20, (0 0 6)
- 2θ 34.1, d = 2.627 Å, rel. 67, (0 1 5)
- 2θ 38.7, d = 2.327 Å, rel. 88, (1 1 0)
- 2θ 49.9, d = 1.827 Å, rel. 25, (0 2 4)
- 2θ 50.4, d = 1.812 Å, rel. 31, (1 1 6)
- 2θ 52.5, d = 1.742 Å, rel. 20, (2 0 5)
- 2θ 58.0, d = 1.591 Å, rel. 26, (1 0 10)
- 2θ 64.9, d = 1.437 Å, rel. 23, (2 1 4)
- 2θ 67.1, d = 1.395 Å, rel. 20, (3 -2 5)
- 2θ 84.7, d = 1.144 Å, rel. 17, (3 -1 10)

=====

Th6Pt5Au: calculated X-ray powder pattern (Cu Kα, 1.54184 Å), based on a DFT-relaxed cell (PBE, Alexandria).

Crystal structure
a = 7.6283 Å, b = 12.9596 Å, c = 6.8912 Å
α = 90.00°, β = 111.14°, γ = 90.00°
Space group C2/m (No. 12)
Unique sites:
Th 0.2417 0.0000 0.2542 [4 per cell]
Th 0.2430 0.1714 0.7447 [8 per cell]
Pt 0.0000 0.0000 0.5000 [2 per cell]
Pt 0.0000 0.1672 0.0000 [4 per cell]
Pt 0.0000 0.3366 0.5000 [4 per cell]
Au 0.0000 0.5000 0.0000 [2 per cell]

The 12 most intense peaks (2θ from 10° to 90°), sorted by position:
- 2θ 30.1, d = 2.973 Å, rel. 100, (1 3 1)
- 2θ 41.2, d = 2.191 Å, rel. 29, (3 3 -1)
- 2θ 41.8, d = 2.160 Å, rel. 14, (0 6 0)
- 2θ 44.3, d = 2.046 Å, rel. 12, (2 0 2)
- 2θ 44.8, d = 2.025 Å, rel. 23, (1 3 -3)
- 2θ 51.4, d = 1.779 Å, rel. 8, (4 0 0)
- 2θ 52.3, d = 1.748 Å, rel. 14, (2 6 -2)
- 2θ 57.3, d = 1.607 Å, rel. 6, (0 0 4)
- 2θ 62.5, d = 1.485 Å, rel. 8, (2 6 2)
- 2θ 68.2, d = 1.375 Å, rel. 7, (5 3 -3)
- 2θ 68.3, d = 1.373 Å, rel. 6, (4 6 0)
- 2θ 69.2, d = 1.358 Å, rel. 6, (1 9 1)

=====

PrGe4Pd4: calculated X-ray powder pattern (Cu Kα, 1.54184 Å), based on a DFT-relaxed cell (PBE, Alexandria).

Crystal structure
a = 6.2659 Å, b = 6.2659 Å, c = 8.4397 Å
α = 90.00°, β = 90.00°, γ = 90.00°
Space group P4_2/nmc (No. 137, origin choice 2)
Unique sites:
Pr 0.2500 0.7500 0.2500 [2 per cell]
Ge 0.0336 0.2500 0.0618 [8 per cell]
Pd 0.0261 0.2500 0.3567 [8 per cell]

The 12 most intense peaks (2θ from 10° to 90°), sorted by position:
- 2θ 29.2, d = 3.056 Å, rel. 14, (1 1 2)
- 2θ 33.7, d = 2.659 Å, rel. 100, (2 1 1)
- 2θ 35.0, d = 2.566 Å, rel. 31, (1 0 3)
- 2θ 40.7, d = 2.215 Å, rel. 28, (2 2 0)
- 2θ 43.2, d = 2.093 Å, rel. 39, (2 0 3)
- 2θ 45.4, d = 2.000 Å, rel. 12, (1 0 4)
- 2θ 45.8, d = 1.983 Å, rel. 13, (3 1 0)
- 2θ 54.7, d = 1.677 Å, rel. 20, (3 0 3)
- 2θ 59.0, d = 1.566 Å, rel. 19, (4 0 0)
- 2θ 60.6, d = 1.528 Å, rel. 15, (2 2 4)
- 2θ 75.9, d = 1.254 Å, rel. 11, (4 2 3)
- 2θ 84.0, d = 1.153 Å, rel. 13, (5 2 1)